TbZrNiPd: theoretical PXRD pattern (Cu Kα), based on DFT lattice parameters and positions (PBE).

Top 9 peaks for 5° ≤ 2θ ≤ 70°, in order of rising 2θ:
2θ/deg, I_rel
22.81, 7.8
26.39, 4.1
37.67, 100.0
44.49, 4.3
46.59, 1.2
54.34, 17.0
59.68, 1.9
61.40, 1.7
68.01, 34.0

a = 4.7754 Å, b = 4.7754 Å, c = 4.7754 Å
α = 60.00°, β = 60.00°, γ = 60.00°
Sites, in units of the cell vectors:
Tb 0.0000 0.0000 0.0000
Zr 0.5000 0.5000 0.5000
Ni 0.7500 0.7500 0.7500
Pd 0.2500 0.2500 0.2500


Pu2ThFeC4: theoretical PXRD pattern (Cu Kα), based on DFT lattice parameters and positions (PBE).

Top 10 peaks for 5° ≤ 2θ ≤ 70°, in order of rising 2θ:
2θ/deg, I_rel
27.67, 99.4
30.48, 26.5
30.67, 100.0
31.47, 48.3
35.66, 32.4
38.13, 56.2
47.25, 30.4
50.24, 21.3
52.75, 25.8
59.93, 20.4

a = 5.9517 Å, b = 5.9517 Å, c = 11.7329 Å
α = 90.00°, β = 90.00°, γ = 145.63°
Sites, in units of the cell vectors:
Pu 0.1326 0.8674 0.5469
Pu 0.1326 0.8674 0.9531
Pu 0.8674 0.1326 0.0469
Pu 0.8674 0.1326 0.4531
Th 0.3996 0.6004 0.7500
Th 0.6004 0.3996 0.2500
Fe 0.3384 0.6616 0.2500
Fe 0.6616 0.3384 0.7500
C 0.0805 0.9195 0.7500
C 0.2381 0.7619 0.1286
C 0.2381 0.7619 0.3714
C 0.5000 0.5000 0.0000
C 0.5000 0.5000 0.5000
C 0.7619 0.2381 0.6286
C 0.7619 0.2381 0.8714
C 0.9195 0.0805 0.2500


CsAgBSe3: theoretical PXRD pattern (Cu Kα), based on DFT lattice parameters and positions (PBE).

Top 10 peaks for 5° ≤ 2θ ≤ 70°, in order of rising 2θ:
2θ/deg, I_rel
10.25, 28.9
12.53, 34.4
17.27, 27.2
22.59, 23.6
22.96, 71.6
31.08, 24.7
31.64, 100.0
32.48, 26.4
34.98, 22.1
59.98, 24.5

a = 8.3398 Å, b = 8.3398 Å, c = 9.4763 Å
α = 112.54°, β = 112.54°, γ = 43.43°
Sites, in units of the cell vectors:
Cs 0.1834 0.1834 0.2146
Cs 0.8166 0.8166 0.7854
Ag 0.2426 0.7574 0.5000
Ag 0.7574 0.2426 0.5000
B 0.4930 0.4930 0.7299
B 0.5070 0.5070 0.2701
Se 0.1664 0.6630 0.2021
Se 0.3370 0.8336 0.7979
Se 0.3582 0.3582 0.6256
Se 0.6418 0.6418 0.3744
Se 0.6630 0.1664 0.2021
Se 0.8336 0.3370 0.7979


CePuPa2Pt4: theoretical PXRD pattern (Cu Kα), based on DFT lattice parameters and positions (PBE).

Top 10 peaks for 5° ≤ 2θ ≤ 70°, in order of rising 2θ:
2θ/deg, I_rel
17.15, 2.9
27.68, 0.8
30.68, 51.4
31.01, 100.0
44.20, 96.2
44.59, 18.8
54.82, 20.7
55.10, 20.4
63.88, 6.6
64.64, 12.7

a = 7.1223 Å, b = 7.1059 Å, c = 5.7676 Å
α = 66.23°, β = 65.94°, γ = 47.83°
Sites, in units of the cell vectors:
Ce 0.0000 0.0000 0.0000
Pu 0.5000 0.5000 0.5000
Pa 0.2500 0.2500 0.2500
Pa 0.7500 0.7500 0.7500
Pt 0.0000 0.0000 0.5000
Pt 0.2512 0.2512 0.7488
Pt 0.5000 0.5000 0.0000
Pt 0.7488 0.7488 0.2512


K2NbAgS4: theoretical PXRD pattern (Cu Kα), based on DFT lattice parameters and positions (PBE).

Top 10 peaks for 5° ≤ 2θ ≤ 70°, in order of rising 2θ:
2θ/deg, I_rel
14.91, 71.4
15.15, 100.0
26.11, 55.9
27.46, 20.2
31.38, 22.4
33.27, 28.3
36.63, 24.8
38.12, 34.1
41.53, 27.1
49.30, 19.4

a = 13.6517 Å, b = 12.2441 Å, c = 7.3302 Å
α = 84.48°, β = 63.22°, γ = 32.31°
Sites, in units of the cell vectors:
K 0.0549 0.0549 0.6951
K 0.3049 0.3049 0.9451
K 0.6951 0.6951 0.0549
K 0.9451 0.9451 0.3049
Nb 0.3750 0.3750 0.3750
Nb 0.6250 0.6250 0.6250
Ag 0.1250 0.1250 0.1250
Ag 0.8750 0.8750 0.8750
S 0.0034 0.3587 0.4530
S 0.3152 0.5470 0.6413
S 0.3587 0.0034 0.6848
S 0.4530 0.6848 0.0034
S 0.5470 0.3152 0.9966
S 0.6413 0.9966 0.3152
S 0.6848 0.4530 0.3587
S 0.9966 0.6413 0.5470


Li3B8C8: theoretical PXRD pattern (Cu Kα), based on DFT lattice parameters and positions (PBE).

Top 10 peaks for 5° ≤ 2θ ≤ 70°, in order of rising 2θ:
2θ/deg, I_rel
11.64, 36.2
23.39, 100.0
38.45, 10.9
40.31, 1.9
45.45, 14.4
45.54, 12.6
47.84, 10.2
53.29, 2.5
60.91, 1.8
69.55, 9.9

a = 4.6840 Å, b = 5.4052 Å, c = 7.6053 Å
α = 90.00°, β = 90.19°, γ = 90.00°
Sites, in units of the cell vectors:
Li 0.0000 0.0000 0.0000
Li 0.5000 0.2567 0.0000
Li 0.5000 0.7433 0.0000
B 0.1666 0.2517 0.2300
B 0.1666 0.7483 0.2300
B 0.3310 0.5000 0.7595
B 0.3338 0.0000 0.7619
B 0.6662 0.0000 0.2381
B 0.6690 0.5000 0.2405
B 0.8334 0.2517 0.7700
B 0.8334 0.7483 0.7700
C 0.1677 0.2493 0.7655
C 0.1677 0.7507 0.7655
C 0.3305 0.0000 0.2207
C 0.3347 0.5000 0.2272
C 0.6653 0.5000 0.7728
C 0.6695 0.0000 0.7793
C 0.8323 0.2493 0.2345
C 0.8323 0.7507 0.2345